No. 1
Starting from a PBE-relaxed structure, the powder X-ray diffraction pattern of AcGaAgAs was computed for Cu Kα, 1.54184 Å.
No peak broadening, texture or thermal motion is included.

Crystal structure
```
data_AcGaAgAs
_symmetry_space_group_name_H-M 'F -4 3 m'
_symmetry_Int_Tables_number 216
_symmetry_space_group_name_Hall 'F -4 2 3'
_cell_length_a 7.4204
_cell_length_b 7.4204
_cell_length_c 7.4204
_cell_angle_alpha 90.00
_cell_angle_beta 90.00
_cell_angle_gamma 90.00
loop_
_atom_site_label
_atom_site_fract_x
_atom_site_fract_y
_atom_site_fract_z
_atom_site_occupancy
Ac1 0.0000 0.0000 0.0000 1
Ga1 0.0000 0.0000 0.5000 1
Ag1 0.2500 0.2500 0.2500 1
As1 0.2500 0.2500 0.7500 1
```

Principal peaks in the range 10° ≤ 2θ ≤ 90°, sorted by position:
(1 1 1), d = 4.284 Å, 20.7°, intensity 21.9
(2 2 0), d = 2.623 Å, 34.2°, intensity 100.0
(3 1 1), d = 2.237 Å, 40.3°, intensity 12.5
(4 0 0), d = 1.855 Å, 49.1°, intensity 17.9
(4 2 2), d = 1.515 Å, 61.2°, intensity 36.8
(6 2 0), d = 1.173 Å, 82.2°, intensity 16.0

---

No. 2
Starting from a PBE-relaxed structure, the powder X-ray diffraction pattern of Ag3TePd4 was computed for Cu Kα, 1.54184 Å.
No peak broadening, texture or thermal motion is included.

Crystal structure
```
data_Ag3TePd4
_symmetry_space_group_name_H-M 'I 4/m m m'
_symmetry_Int_Tables_number 139
_symmetry_space_group_name_Hall '-I 4 2'
_cell_length_a 4.7708
_cell_length_b 4.7708
_cell_length_c 12.1266
_cell_angle_alpha 90.00
_cell_angle_beta 90.00
_cell_angle_gamma 90.00
loop_
_atom_site_label
_atom_site_fract_x
_atom_site_fract_y
_atom_site_fract_z
_atom_site_occupancy
Ag1 0.0000 0.0000 0.0000 1
Ag2 0.0000 0.0000 0.2458 1
Te1 0.0000 0.0000 0.5000 1
Pd1 0.0000 0.5000 0.1219 1
```

Principal peaks in the range 10° ≤ 2θ ≤ 90°, sorted by position:
(2 0 0), d = 2.385 Å, 37.7°, intensity 59.4
(1 1 4), d = 2.255 Å, 40.0°, intensity 100.0
(2 2 0), d = 1.687 Å, 54.4°, intensity 20.0
(3 1 4), d = 1.351 Å, 69.6°, intensity 37.0
(2 0 8), d = 1.279 Å, 74.1°, intensity 15.1
(2 2 8), d = 1.127 Å, 86.3°, intensity 10.3

---

No. 3
Starting from a PBE-relaxed structure, the powder X-ray diffraction pattern of Nd5SnTe4 was computed for Cu Kα, 1.54184 Å.
No peak broadening, texture or thermal motion is included.

Crystal structure
```
data_Nd5SnTe4
_symmetry_space_group_name_H-M 'I 4/m'
_symmetry_Int_Tables_number 87
_symmetry_space_group_name_Hall '-I 4'
_cell_length_a 10.1046
_cell_length_b 10.1046
_cell_length_c 6.3632
_cell_angle_alpha 90.00
_cell_angle_beta 90.00
_cell_angle_gamma 90.00
loop_
_atom_site_label
_atom_site_fract_x
_atom_site_fract_y
_atom_site_fract_z
_atom_site_occupancy
Nd1 0.0000 0.0000 0.0000 1
Nd2 0.0984 0.2932 0.5000 1
Sn1 0.0000 0.0000 0.5000 1
Te1 0.0981 0.3013 0.0000 1
```

Principal peaks in the range 10° ≤ 2θ ≤ 90°, sorted by position:
(1 3 0), d = 3.195 Å, 27.9°, intensity 87.3
(0 0 2), d = 3.182 Å, 28.0°, intensity 43.3
(1 3 2), d = 2.256 Å, 40.0°, intensity 100.0
(4 2 2), d = 1.842 Å, 49.5°, intensity 35.9
(2 6 2), d = 1.428 Å, 65.3°, intensity 30.8
(7 1 2), d = 1.304 Å, 72.5°, intensity 22.6

---

No. 4
Starting from a PBE-relaxed structure, the powder X-ray diffraction pattern of TlHg2Pb was computed for Cu Kα, 1.54184 Å.
No peak broadening, texture or thermal motion is included.

Crystal structure
```
data_TlHg2Pb
_symmetry_space_group_name_H-M 'R -3 m'
_symmetry_Int_Tables_number 166
_symmetry_space_group_name_Hall '-R 3 2"'
_cell_length_a 3.3866
_cell_length_b 3.3866
_cell_length_c 34.7877
_cell_angle_alpha 90.00
_cell_angle_beta 90.00
_cell_angle_gamma 120.00
loop_
_atom_site_label
_atom_site_fract_x
_atom_site_fract_y
_atom_site_fract_z
_atom_site_occupancy
Tl1 0.0000 0.0000 0.0000 1
Hg1 0.0000 0.0000 0.2517 1
Pb1 0.0000 0.0000 0.5000 1
```

Principal peaks in the range 10° ≤ 2θ ≤ 90°, sorted by position:
(0 0 12), d = 2.899 Å, 30.8°, intensity 37.0
(1 0 4), d = 2.779 Å, 32.2°, intensity 100.0
(0 1 8), d = 2.431 Å, 37.0°, intensity 69.4
(1 0 16), d = 1.747 Å, 52.4°, intensity 25.7
(1 1 0), d = 1.693 Å, 54.2°, intensity 23.7
(1 1 12), d = 1.462 Å, 63.6°, intensity 29.1

---

No. 5
Starting from a PBE-relaxed structure, the powder X-ray diffraction pattern of Tc2RuPb was computed for Cu Kα, 1.54184 Å.
No peak broadening, texture or thermal motion is included.

Crystal structure
```
data_Tc2RuPb
_symmetry_space_group_name_H-M 'P 4 m m'
_symmetry_Int_Tables_number 99
_cell_length_a 2.9702
_cell_length_b 2.9702
_cell_length_c 7.5804
_cell_angle_alpha 90.00
_cell_angle_beta 90.00
_cell_angle_gamma 90.00
loop_
_symmetry_equiv_pos_as_xyz
'x,y,z'
'-y,x,z'
'-x,-y,z'
'y,-x,z'
'-x,y,z'
'y,x,z'
'x,-y,z'
'-y,-x,z'
loop_
_atom_site_label
_atom_site_fract_x
_atom_site_fract_y
_atom_site_fract_z
_atom_site_occupancy
Tc1 0.0000 0.0000 0.0000 1
Tc2 0.5000 0.5000 0.2150 1
Ru1 0.5000 0.5000 0.7760 1
Pb1 0.0000 0.0000 0.5023 1
```

Principal peaks in the range 10° ≤ 2θ ≤ 90°, sorted by position:
(1 0 1), d = 2.766 Å, 32.4°, intensity 13.2
(1 0 2), d = 2.338 Å, 38.5°, intensity 100.0
(1 1 0), d = 2.100 Å, 43.1°, intensity 38.7
(2 0 0), d = 1.485 Å, 62.5°, intensity 12.7
(1 1 4), d = 1.407 Å, 66.4°, intensity 16.7
(2 1 2), d = 1.254 Å, 75.9°, intensity 27.3

---

No. 6
Starting from a PBE-relaxed structure, the powder X-ray diffraction pattern of CsNaYF6 was computed for Cu Kα, 1.54184 Å.
No peak broadening, texture or thermal motion is included.

Crystal structure
```
data_CsNaYF6
_symmetry_space_group_name_H-M 'I m m a'
_symmetry_Int_Tables_number 74
_symmetry_space_group_name_Hall '-I 2b 2'
_cell_length_a 7.3882
_cell_length_b 8.3418
_cell_length_c 11.9739
_cell_angle_alpha 90.00
_cell_angle_beta 90.00
_cell_angle_gamma 90.00
loop_
_atom_site_label
_atom_site_fract_x
_atom_site_fract_y
_atom_site_fract_z
_atom_site_occupancy
Cs1 0.0000 0.2500 0.1234 1
Na1 0.2500 0.2500 0.7500 1
Y1 0.0000 0.0000 0.5000 1
F1 0.0000 0.2500 0.4395 1
F2 0.0000 0.2500 0.8723 1
F3 0.2091 0.0457 0.6240 1
```

Principal peaks in the range 10° ≤ 2θ ≤ 90°, sorted by position:
(1 1 2), d = 4.063 Å, 21.9°, intensity 40.3
(1 0 3), d = 3.512 Å, 25.4°, intensity 50.2
(1 2 1), d = 3.476 Å, 25.6°, intensity 100.0
(2 1 1), d = 3.251 Å, 27.4°, intensity 34.4
(0 4 0), d = 2.087 Å, 43.4°, intensity 30.0
(2 2 4), d = 2.031 Å, 44.6°, intensity 59.9

---

No. 7
Starting from a PBE-relaxed structure, the powder X-ray diffraction pattern of Er11Sc9Tl4 was computed for Cu Kα, 1.54184 Å.
No peak broadening, texture or thermal motion is included.

Crystal structure
```
data_Er11Sc9Tl4
_symmetry_space_group_name_H-M 'C m m m'
_symmetry_Int_Tables_number 65
_symmetry_space_group_name_Hall '-C 2 2'
_cell_length_a 15.4642
_cell_length_b 23.2862
_cell_length_c 3.6594
_cell_angle_alpha 90.00
_cell_angle_beta 90.00
_cell_angle_gamma 90.00
loop_
_atom_site_label
_atom_site_fract_x
_atom_site_fract_y
_atom_site_fract_z
_atom_site_occupancy
Er1 0.0000 0.0000 0.0000 1
Er2 0.0000 0.1587 0.0000 1
Er3 0.0000 0.3642 0.0000 1
Er4 0.2156 0.5000 0.0000 1
Er5 0.2291 0.1788 0.0000 1
Sc1 0.0000 0.5000 0.5000 1
Sc2 0.1043 0.2646 0.5000 1
Sc3 0.1373 0.0739 0.5000 1
Tl1 0.1514 0.4012 0.5000 1
```

Principal peaks in the range 10° ≤ 2θ ≤ 90°, sorted by position:
(3 1 0), d = 5.033 Å, 17.6°, intensity 16.5
(2 4 1), d = 2.875 Å, 31.1°, intensity 18.2
(4 6 0), d = 2.739 Å, 32.7°, intensity 42.0
(4 0 1), d = 2.660 Å, 33.7°, intensity 100.0
(3 5 1), d = 2.514 Å, 35.7°, intensity 21.9
(4 6 2), d = 1.521 Å, 60.9°, intensity 14.0

---

No. 8
Starting from a PBE-relaxed structure, the powder X-ray diffraction pattern of CeTh3Zn4 was computed for Cu Kα, 1.54184 Å.
No peak broadening, texture or thermal motion is included.

Crystal structure
```
data_CeTh3Zn4
_symmetry_space_group_name_H-M 'R -3 m'
_symmetry_Int_Tables_number 166
_symmetry_space_group_name_Hall '-R 3 2"'
_cell_length_a 5.1721
_cell_length_b 5.1721
_cell_length_c 25.3467
_cell_angle_alpha 90.00
_cell_angle_beta 90.00
_cell_angle_gamma 120.00
loop_
_atom_site_label
_atom_site_fract_x
_atom_site_fract_y
_atom_site_fract_z
_atom_site_occupancy
Ce1 0.0000 0.0000 0.0000 1
Th1 0.0000 0.0000 0.2497 1
Th2 0.0000 0.0000 0.5000 1
Zn1 0.0000 0.0000 0.1243 1
Zn2 0.0000 0.0000 0.3742 1
```

Principal peaks in the range 10° ≤ 2θ ≤ 90°, sorted by position:
(1 0 4), d = 3.658 Å, 24.3°, intensity 27.4
(1 1 0), d = 2.586 Å, 34.7°, intensity 100.0
(2 0 8), d = 1.829 Å, 49.9°, intensity 18.0
(2 1 4), d = 1.636 Å, 56.2°, intensity 12.2
(3 0 0), d = 1.493 Å, 62.2°, intensity 37.1
(3 1 8), d = 1.157 Å, 83.6°, intensity 16.3

---

No. 9
Starting from a PBE-relaxed structure, the powder X-ray diffraction pattern of SrMgBr2 was computed for Cu Kα, 1.54184 Å.
No peak broadening, texture or thermal motion is included.

Crystal structure
```
data_SrMgBr2
_symmetry_space_group_name_H-M 'I -4 2 d'
_symmetry_Int_Tables_number 122
_symmetry_space_group_name_Hall 'I -4 2bw'
_cell_length_a 9.1380
_cell_length_b 9.1380
_cell_length_c 7.9439
_cell_angle_alpha 90.00
_cell_angle_beta 90.00
_cell_angle_gamma 90.00
loop_
_atom_site_label
_atom_site_fract_x
_atom_site_fract_y
_atom_site_fract_z
_atom_site_occupancy
Sr1 0.0000 0.0000 0.0000 1
Mg1 0.0000 0.0000 0.5000 1
Br1 0.1818 0.2500 0.1250 1
```

Principal peaks in the range 10° ≤ 2θ ≤ 90°, sorted by position:
(1 0 1), d = 5.995 Å, 14.8°, intensity 66.8
(1 1 2), d = 3.384 Å, 26.3°, intensity 100.0
(2 2 0), d = 3.231 Å, 27.6°, intensity 61.5
(3 2 1), d = 2.415 Å, 37.2°, intensity 42.3
(3 1 2), d = 2.337 Å, 38.5°, intensity 45.7
(2 0 4), d = 1.821 Å, 50.1°, intensity 29.1

---

No. 10
Starting from a PBE-relaxed structure, the powder X-ray diffraction pattern of PrZn4Pt8 was computed for Cu Kα, 1.54184 Å.
No peak broadening, texture or thermal motion is included.

Crystal structure
```
data_PrZn4Pt8
_symmetry_space_group_name_H-M 'I 4/m m m'
_symmetry_Int_Tables_number 139
_symmetry_space_group_name_Hall '-I 4 2'
_cell_length_a 8.9253
_cell_length_b 8.9253
_cell_length_c 5.3368
_cell_angle_alpha 90.00
_cell_angle_beta 90.00
_cell_angle_gamma 90.00
loop_
_atom_site_label
_atom_site_fract_x
_atom_site_fract_y
_atom_site_fract_z
_atom_site_occupancy
Pr1 0.0000 0.0000 0.0000 1
Zn1 0.2500 0.2500 0.2500 1
Pt1 0.0000 0.2253 0.5000 1
Pt2 0.0000 0.3436 0.0000 1
```

Principal peaks in the range 10° ≤ 2θ ≤ 90°, sorted by position:
(0 0 2), d = 2.668 Å, 33.6°, intensity 47.3
(3 0 1), d = 2.599 Å, 34.5°, intensity 43.6
(3 2 1), d = 2.246 Å, 40.2°, intensity 100.0
(4 0 0), d = 2.231 Å, 40.4°, intensity 45.4
(2 2 2), d = 2.038 Å, 44.5°, intensity 62.1
(4 1 1), d = 2.006 Å, 45.2°, intensity 44.3

---

No. 11
Starting from a PBE-relaxed structure, the powder X-ray diffraction pattern of Li15Ga2Pd2 was computed for Cu Kα, 1.54184 Å.
No peak broadening, texture or thermal motion is included.

Crystal structure
```
data_Li15Ga2Pd2
_symmetry_space_group_name_H-M 'R -3 m'
_symmetry_Int_Tables_number 166
_symmetry_space_group_name_Hall '-R 3 2"'
_cell_length_a 8.1732
_cell_length_b 8.1732
_cell_length_c 15.5667
_cell_angle_alpha 90.00
_cell_angle_beta 90.00
_cell_angle_gamma 120.00
loop_
_atom_site_label
_atom_site_fract_x
_atom_site_fract_y
_atom_site_fract_z
_atom_site_occupancy
Li1 0.0000 0.2885 0.0000 1
Li2 0.0000 0.5000 0.5000 1
Li3 0.0817 0.5409 0.1042 1
Ga1 0.0000 0.0000 0.1141 1
Pd1 0.0000 0.0000 0.2848 1
```

Principal peaks in the range 10° ≤ 2θ ≤ 90°, sorted by position:
(0 1 2), d = 5.237 Å, 16.9°, intensity 44.8
(1 1 0), d = 4.087 Å, 21.7°, intensity 100.0
(0 1 5), d = 2.850 Å, 31.4°, intensity 32.0
(3 0 0), d = 2.359 Å, 38.1°, intensity 27.2
(2 0 5), d = 2.338 Å, 38.5°, intensity 27.0
(1 2 5), d = 2.029 Å, 44.7°, intensity 25.4

---

No. 12
Starting from a PBE-relaxed structure, the powder X-ray diffraction pattern of Rb6Ga3I14 was computed for Cu Kα, 1.54184 Å.
No peak broadening, texture or thermal motion is included.

Crystal structure
```
data_Rb6Ga3I14
_symmetry_space_group_name_H-M 'P 3'
_symmetry_Int_Tables_number 143
_cell_length_a 13.4990
_cell_length_b 13.4990
_cell_length_c 7.1757
_cell_angle_alpha 90.00
_cell_angle_beta 90.00
_cell_angle_gamma 120.00
loop_
_symmetry_equiv_pos_as_xyz
'x,y,z'
'-y,x-y,z'
'-x+y,-x,z'
loop_
_atom_site_label
_atom_site_fract_x
_atom_site_fract_y
_atom_site_fract_z
_atom_site_occupancy
Rb1 0.0090 0.5574 0.0000 1
Rb2 0.3232 0.1103 0.4747 1
Ga1 0.0000 0.0000 0.8853 1
Ga2 0.3333 0.6667 0.4007 1
Ga3 0.6667 0.3333 0.7443 1
I1 0.0000 0.0000 0.2458 1
I2 0.0775 0.8708 0.7608 1
I3 0.2028 0.4607 0.2724 1
I4 0.3333 0.6667 0.7595 1
I5 0.4419 0.1855 0.9720 1
I6 0.5206 0.4110 0.5175 1
```

Principal peaks in the range 10° ≤ 2θ ≤ 90°, sorted by position:
(1 2 1), d = 3.762 Å, 23.6°, intensity 70.2
(0 3 1), d = 3.427 Å, 26.0°, intensity 100.0
(1 3 0), d = 3.242 Å, 27.5°, intensity 37.3
(0 2 2), d = 3.057 Å, 29.2°, intensity 33.3
(4 -3 1), d = 2.955 Å, 30.2°, intensity 31.1
(3 -1 3), d = 2.103 Å, 43.0°, intensity 25.4

---

No. 13
Starting from a PBE-relaxed structure, the powder X-ray diffraction pattern of NpSi2Ni2 was computed for Cu Kα, 1.54184 Å.
No peak broadening, texture or thermal motion is included.

Crystal structure
```
data_NpSi2Ni2
_symmetry_space_group_name_H-M 'P 4/n m m'
_symmetry_Int_Tables_number 129
_cell_length_a 3.9708
_cell_length_b 3.9708
_cell_length_c 9.4553
_cell_angle_alpha 90.00
_cell_angle_beta 90.00
_cell_angle_gamma 90.00
loop_
_symmetry_equiv_pos_as_xyz
'x,y,z'
'-x,-y,-z'
'-y+1/2,x,z'
'y+1/2,-x,-z'
'-x+1/2,-y+1/2,z'
'x+1/2,y+1/2,-z'
'y,-x+1/2,z'
'-y,x+1/2,-z'
'x+1/2,-y,-z'
'-x+1/2,y,z'
'-y,-x,-z'
'y,x,z'
'-x,y+1/2,-z'
'x,-y+1/2,z'
'y+1/2,x+1/2,-z'
'-y+1/2,-x+1/2,z'
loop_
_atom_site_label
_atom_site_fract_x
_atom_site_fract_y
_atom_site_fract_z
_atom_site_occupancy
Np1 0.2500 0.2500 0.2504 1
Si1 0.2500 0.2500 0.6316 1
Si2 0.2500 0.7500 0.0000 1
Ni1 0.2500 0.2500 0.8758 1
Ni2 0.2500 0.7500 0.5000 1
```

Principal peaks in the range 10° ≤ 2θ ≤ 90°, sorted by position:
(1 0 1), d = 3.661 Å, 24.3°, intensity 72.3
(1 1 0), d = 2.808 Å, 31.9°, intensity 37.7
(1 0 3), d = 2.469 Å, 36.4°, intensity 87.2
(1 1 2), d = 2.414 Å, 37.2°, intensity 100.0
(2 0 0), d = 1.985 Å, 45.7°, intensity 45.8
(2 1 3), d = 1.547 Å, 59.8°, intensity 41.8